The following is a simulated X-ray diffraction stick pattern of Li2Sm3Ni7. It was derived from DFT lattice parameters and positions (GGA-PBE), using λ = 1.5418 Å (Cu Kα).
No peak broadening, texture or thermal motion is included.

Structure:
```
data_Li2Sm3Ni7
_cell_length_a 5.0995
_cell_length_b 5.0995
_cell_length_c 24.4051
_cell_angle_alpha 90.00
_cell_angle_beta 90.00
_cell_angle_gamma 120.00
_space_group_name_H-M_alt 'R -3 m'
_space_group_IT_number 166
_space_group_name_Hall '-R 3 2"'
loop_
_atom_site_label
_atom_site_type_symbol
_atom_site_fract_x
_atom_site_fract_y
_atom_site_fract_z
Li1 Li 0.0000 0.0000 0.1657
Sm1 Sm 0.0000 0.0000 0.3613
Sm2 Sm 0.0000 0.0000 0.5000
Ni1 Ni 0.0000 0.0000 0.0000
Ni2 Ni 0.0014 0.5007 0.4168
```

Largest 10 diffraction maxima, in order of rising 2θ, 2θ from 10° to 90°:
hkl	2θ (°)	Rel. int.
0 0 3	10.9	45
1 0 1	20.4	31
1 0 7	32.7	92
1 1 0	35.2	50
0 1 8	35.8	80
0 2 1	41.0	78
1 1 6	41.8	100
2 1 7	61.6	30
1 2 8	63.5	28
2 2 0	74.4	28

=====

The following is a simulated X-ray diffraction stick pattern of Li3Ni8Sn4. It was derived from DFT lattice parameters and positions (GGA-PBE), using λ = 1.5418 Å (Cu Kα).
No peak broadening, texture or thermal motion is included.

Structure:
```
data_Li3Ni8Sn4
_cell_length_a 12.183
_cell_length_b 12.183
_cell_length_c 12.183
_cell_angle_alpha 90.00
_cell_angle_beta 90.00
_cell_angle_gamma 90.00
_space_group_name_H-M_alt 'F m -3 m'
_space_group_IT_number 225
_space_group_name_Hall '-F 4 2 3'
loop_
_atom_site_label
_atom_site_type_symbol
_atom_site_fract_x
_atom_site_fract_y
_atom_site_fract_z
Li1 Li 0.000 0.000 0.233
Ni1 Ni 0.121 0.121 0.379
Ni2 Ni 0.176 0.176 0.176
Sn1 Sn 0.000 0.000 0.000
Sn2 Sn 0.000 0.000 0.500
Sn3 Sn 0.000 0.250 0.250
```

Largest 10 diffraction maxima, in order of rising 2θ, 2θ from 10° to 90°:
hkl	2θ (°)	Rel. int.
1 1 1	12.6	12
2 0 0	14.5	22
2 2 2	25.3	70
3 3 3	38.4	14
4 4 0	42.0	100
5 3 1	44.0	18
5 3 3	49.0	15
6 2 2	49.6	64
8 4 4	76.6	30
6 6 6	82.2	19

=====

The following is a simulated X-ray diffraction stick pattern of Li5NiSn5. It was derived from DFT lattice parameters and positions (GGA-PBE), using λ = 1.5418 Å (Cu Kα).
No peak broadening, texture or thermal motion is included.

Structure:
```
data_Li5NiSn5
_cell_length_a 4.880
_cell_length_b 6.812
_cell_length_c 14.600
_cell_angle_alpha 90.00
_cell_angle_beta 90.00
_cell_angle_gamma 90.00
_space_group_name_H-M_alt 'I m m m'
_space_group_IT_number 71
_space_group_name_Hall '-I 2 2'
loop_
_atom_site_label
_atom_site_type_symbol
_atom_site_fract_x
_atom_site_fract_y
_atom_site_fract_z
Li1 Li 0.000 0.000 0.000
Li2 Li 0.000 0.000 0.296
Li3 Li 0.000 0.500 0.333
Ni1 Ni 0.000 0.500 0.000
Sn1 Sn 0.000 0.000 0.500
Sn2 Sn 0.000 0.280 0.154
```

Largest 10 diffraction maxima, in order of rising 2θ, 2θ from 10° to 90°:
hkl	2θ (°)	Rel. int.
0 1 1	14.3	84
1 0 1	19.2	39
1 0 3	25.9	100
0 2 2	28.9	34
1 2 1	32.6	44
0 2 4	36.1	48
2 0 0	36.8	39
0 0 6	36.9	32
1 2 3	37.1	51
2 2 4	52.5	33

=====

The following is a simulated X-ray diffraction stick pattern of LiTh2Ni4Sn3. It was derived from DFT lattice parameters and positions (GGA-PBE), using λ = 1.5418 Å (Cu Kα).
No peak broadening, texture or thermal motion is included.

Structure:
```
data_LiTh2Ni4Sn3
_cell_length_a 4.410
_cell_length_b 4.410
_cell_length_c 9.995
_cell_angle_alpha 90.00
_cell_angle_beta 90.00
_cell_angle_gamma 90.00
_space_group_name_H-M_alt 'P -4 m 2'
_space_group_IT_number 115
loop_
_space_group_symop_operation_xyz
'x,y,z'
'y,-x,-z'
'-x,-y,z'
'-y,x,-z'
'-x,y,z'
'-y,-x,-z'
'x,-y,z'
'y,x,-z'
loop_
_atom_site_label
_atom_site_type_symbol
_atom_site_fract_x
_atom_site_fract_y
_atom_site_fract_z
Li1 Li 0.000 0.000 0.000
Th1 Th 0.000 0.500 0.737
Ni1 Ni 0.000 0.000 0.500
Ni2 Ni 0.000 0.500 0.123
Ni3 Ni 0.500 0.500 0.500
Sn1 Sn 0.000 0.500 0.370
Sn2 Sn 0.500 0.500 0.000
```

Largest 10 diffraction maxima, in order of rising 2θ, 2θ from 10° to 90°:
hkl	2θ (°)	Rel. int.
1 0 1	22.0	25
1 1 0	28.6	48
1 0 3	33.7	97
1 1 2	33.9	100
2 0 0	40.9	69
1 0 5	50.1	33
2 1 3	54.0	52
2 2 0	59.3	29
2 1 5	66.6	28
3 1 2	70.0	37

=====

The following is a simulated X-ray diffraction stick pattern of Sr4LiNi2. It was derived from DFT lattice parameters and positions (GGA-PBE), using λ = 1.5418 Å (Cu Kα).
No peak broadening, texture or thermal motion is included.

Structure:
```
data_Sr4LiNi2
_cell_length_a 7.089
_cell_length_b 7.392
_cell_length_c 9.797
_cell_angle_alpha 111.39
_cell_angle_beta 110.34
_cell_angle_gamma 92.01
_space_group_name_H-M_alt 'P 1'
_space_group_IT_number 1
loop_
_space_group_symop_operation_xyz
'x,y,z'
loop_
_atom_site_label
_atom_site_type_symbol
_atom_site_fract_x
_atom_site_fract_y
_atom_site_fract_z
Sr1 Sr 0.000 0.000 0.000
Sr2 Sr 0.032 0.311 0.456
Sr3 Sr 0.079 0.580 0.159
Sr4 Sr 0.133 0.886 0.590
Sr5 Sr 0.497 0.255 0.987
Sr6 Sr 0.590 0.847 0.172
Sr7 Sr 0.623 0.876 0.569
Sr8 Sr 0.655 0.434 0.703
Li1 Li 0.222 0.580 0.830
Li2 Li 0.472 0.330 0.329
Ni1 Ni 0.030 0.257 0.811
Ni2 Ni 0.299 0.025 0.348
Ni3 Ni 0.515 0.816 0.834
Ni4 Ni 0.760 0.562 0.325
```

Largest 10 diffraction maxima, in order of rising 2θ, 2θ from 10° to 90°:
hkl	2θ (°)	Rel. int.
1 1 0	20.6	40
0 2 0	26.4	30
2 0 0	27.3	100
1 1 1	27.7	58
1 2 -1	28.1	41
0 1 2	29.2	50
1 -2 2	31.3	37
0 2 1	32.3	31
2 0 1	33.1	29
1 -1 3	36.4	55

=====

The following is a simulated X-ray diffraction stick pattern of Sr2Li2Ni15. It was derived from DFT lattice parameters and positions (GGA-PBE), using λ = 1.5418 Å (Cu Kα).
No peak broadening, texture or thermal motion is included.

Structure:
```
data_Sr2Li2Ni15
_cell_length_a 8.5254
_cell_length_b 8.5254
_cell_length_c 12.0813
_cell_angle_alpha 90.00
_cell_angle_beta 90.00
_cell_angle_gamma 120.00
_space_group_name_H-M_alt 'R -3 m'
_space_group_IT_number 166
_space_group_name_Hall '-R 3 2"'
loop_
_atom_site_label
_atom_site_type_symbol
_atom_site_fract_x
_atom_site_fract_y
_atom_site_fract_z
Sr1 Sr 0.0000 0.0000 0.1560
Li1 Li 0.0000 0.0000 0.4042
Ni1 Ni 0.0000 0.2923 0.5000
Ni2 Ni 0.0000 0.5000 0.0000
Ni3 Ni 0.0046 0.5023 0.3433
```

Largest 10 diffraction maxima, in order of rising 2θ, 2θ from 10° to 90°:
hkl	2θ (°)	Rel. int.
1 1 0	20.8	27
1 1 3	30.5	19
3 0 0	36.5	17
2 2 0	42.4	42
3 0 3	43.1	100
0 0 6	45.0	38
2 2 3	48.3	49
2 2 6	63.6	21
3 3 3	70.2	14
6 0 0	77.6	14

=====

The following is a simulated X-ray diffraction stick pattern of LiTiNi6. It was derived from DFT lattice parameters and positions (GGA-PBE), using λ = 1.5418 Å (Cu Kα).
No peak broadening, texture or thermal motion is included.

Structure:
```
data_LiTiNi6
_cell_length_a 7.109
_cell_length_b 10.120
_cell_length_c 10.111
_cell_angle_alpha 90.00
_cell_angle_beta 90.00
_cell_angle_gamma 90.00
_space_group_name_H-M_alt 'C m m m'
_space_group_IT_number 65
_space_group_name_Hall '-C 2 2'
loop_
_atom_site_label
_atom_site_type_symbol
_atom_site_fract_x
_atom_site_fract_y
_atom_site_fract_z
Li1 Li 0.000 0.000 0.247
Li2 Li 0.000 0.254 0.000
Ti1 Ti 0.000 0.254 0.500
Ti2 Ti 0.000 0.500 0.247
Ni1 Ni 0.000 0.000 0.000
Ni2 Ni 0.000 0.000 0.500
Ni3 Ni 0.000 0.251 0.247
Ni4 Ni 0.000 0.500 0.000
Ni5 Ni 0.000 0.500 0.500
Ni6 Ni 0.247 0.124 0.374
Ni7 Ni 0.247 0.126 0.123
```

Largest 10 diffraction maxima, in order of rising 2θ, 2θ from 10° to 90°:
hkl	2θ (°)	Rel. int.
0 2 2	24.9	7
2 0 0	25.1	4
0 4 0	35.5	3
2 2 2	35.6	6
2 4 0	43.9	100
0 4 4	51.1	31
4 0 0	51.4	15
2 6 2	63.8	2
0 8 0	75.1	9
4 4 4	75.4	18

=====

The following is a simulated X-ray diffraction stick pattern of Li2TlNi. It was derived from DFT lattice parameters and positions (GGA-PBE), using λ = 1.5418 Å (Cu Kα).
No peak broadening, texture or thermal motion is included.

Structure:
```
data_Li2TlNi
_cell_length_a 3.316
_cell_length_b 3.316
_cell_length_c 5.705
_cell_angle_alpha 90.00
_cell_angle_beta 90.00
_cell_angle_gamma 90.00
_space_group_name_H-M_alt 'P 4/m m m'
_space_group_IT_number 123
_space_group_name_Hall '-P 4 2'
loop_
_atom_site_label
_atom_site_type_symbol
_atom_site_fract_x
_atom_site_fract_y
_atom_site_fract_z
Li1 Li 0.000 0.000 0.213
Tl1 Tl 0.500 0.500 0.500
Ni1 Ni 0.500 0.500 0.000
```

Largest 10 diffraction maxima, in order of rising 2θ, 2θ from 10° to 90°:
hkl	2θ (°)	Rel. int.
0 0 1	15.5	46
1 0 0	26.9	100
1 0 1	31.2	39
0 0 2	31.4	34
1 1 0	38.4	46
1 0 2	41.8	72
1 1 2	50.4	36
2 1 0	62.6	19
2 0 2	65.0	27
2 1 2	71.7	29